Calculated powder diffraction line list
Compound: RbCrP2O7
Radiation: Cu Kα
Structure: a GGA+U-relaxed structure

Structure:
```
RbCrP2O7
1.0
7.610 0.000 0.000
0.000 10.084 0.000
-2.331 0.000 8.043
Rb Cr P O
4 4 8 28
Direct
0.186 0.186 0.053 Rb
0.186 0.314 0.553 Rb
0.814 0.686 0.447 Rb
0.814 0.814 0.947 Rb
0.239 0.601 0.259 Cr
0.239 0.899 0.759 Cr
0.761 0.101 0.241 Cr
0.761 0.399 0.741 Cr
0.129 0.597 0.831 P
0.129 0.903 0.331 P
0.432 0.631 0.688 P
0.432 0.869 0.188 P
0.568 0.131 0.812 P
0.568 0.369 0.312 P
0.871 0.097 0.669 P
0.871 0.403 0.169 P
0.012 0.001 0.775 O
0.012 0.499 0.275 O
0.085 0.737 0.757 O
0.085 0.763 0.257 O
0.146 0.590 0.014 O
0.146 0.910 0.514 O
0.320 0.603 0.510 O
0.320 0.897 0.010 O
0.325 0.553 0.805 O
0.325 0.947 0.305 O
0.375 0.073 0.764 O
0.375 0.427 0.264 O
0.443 0.722 0.240 O
0.443 0.778 0.740 O
0.557 0.222 0.260 O
0.557 0.278 0.760 O
0.625 0.573 0.736 O
0.625 0.927 0.236 O
0.675 0.053 0.695 O
0.675 0.447 0.195 O
0.680 0.103 0.990 O
0.680 0.397 0.490 O
0.854 0.090 0.486 O
0.854 0.410 0.986 O
0.915 0.237 0.743 O
0.915 0.263 0.243 O
0.988 0.501 0.725 O
0.988 0.999 0.225 O
```

Top 10 peaks for 2θ = 10–90°, sorted by position:
- 22.09°, 4.024 Å, I = 31, (0 0 2)
- 23.80°, 3.738 Å, I = 29, (1 1 -2)
- 24.36°, 3.655 Å, I = 17, (2 0 0)
- 25.66°, 3.471 Å, I = 33, (1 2 1)
- 28.37°, 3.146 Å, I = 33, (1 2 -2)
- 28.79°, 3.101 Å, I = 24, (0 3 1)
- 29.24°, 3.054 Å, I = 50, (1 3 0)
- 29.50°, 3.028 Å, I = 100, (1 1 2)
- 29.73°, 3.005 Å, I = 80, (2 2 -1)
- 42.19°, 2.142 Å, I = 18, (1 3 -3)